Record 1
Diffraction record for RbNp3F10. The powder diffractogram is theoretical, not measured: it uses a crystal structure in Alexandria, relaxed with GGA-PBE and Cu Kα.
Kinematic intensities with the Lorentz-polarization factor, no thermal factor.

Most intense lines, 10° ≤ 2θ ≤ 80°, in order of falling intensity:
25.19°, d = 3.535 Å, I = 100.0
49.36°, d = 1.846 Å, I = 56.0
41.72°, d = 2.165 Å, I = 47.2
29.17°, d = 3.062 Å, I = 45.1
66.56°, d = 1.405 Å, I = 20.7
76.16°, d = 1.250 Å, I = 16.5
68.53°, d = 1.369 Å, I = 15.7
51.71°, d = 1.768 Å, I = 13.9
20.51°, d = 4.330 Å, I = 12.4
14.46°, d = 6.124 Å, I = 12.0

Cell and atoms:
abc: 8.6601 8.6601 8.6601
angles: 60.00 60.00 60.00
Element x y z (fractional)
Rb1 0.2500 0.2500 0.2500
Rb2 0.7500 0.7500 0.7500
Np1 0.2396 0.2396 0.7604
Np2 0.2396 0.7604 0.2396
Np3 0.2396 0.7604 0.7604
Np4 0.7604 0.2396 0.2396
Np5 0.7604 0.2396 0.7604
Np6 0.7604 0.7604 0.2396
F1 0.1127 0.1127 0.1127
F2 0.1127 0.1127 0.6619
F3 0.1127 0.6619 0.1127
F4 0.1688 0.5000 0.5000
F5 0.1688 0.5000 0.8312
F6 0.1688 0.8312 0.5000
F7 0.3381 0.8873 0.8873
F8 0.5000 0.1688 0.5000
F9 0.5000 0.1688 0.8312
F10 0.5000 0.5000 0.1688
F11 0.5000 0.5000 0.8312
F12 0.5000 0.8312 0.1688
F13 0.5000 0.8312 0.5000
F14 0.6619 0.1127 0.1127
F15 0.8312 0.1688 0.5000
F16 0.8312 0.5000 0.1688
F17 0.8312 0.5000 0.5000
F18 0.8873 0.3381 0.8873
F19 0.8873 0.8873 0.3381
F20 0.8873 0.8873 0.8873


Record 2
Diffraction record for Dy5TlOs2. The powder diffractogram is theoretical, not measured: it uses a crystal structure in Alexandria, relaxed with GGA-PBE and Cu Kα.
Kinematic intensities with the Lorentz-polarization factor, no thermal factor.

Most intense lines, 10° ≤ 2θ ≤ 80°, in order of falling intensity:
32.45°, d = 2.759 Å, I = 100.0
36.70°, d = 2.449 Å, I = 66.9
42.05°, d = 2.149 Å, I = 34.3
34.97°, d = 2.566 Å, I = 29.2
66.64°, d = 1.404 Å, I = 22.9
12.92°, d = 6.851 Å, I = 20.0
30.79°, d = 2.904 Å, I = 19.5
68.40°, d = 1.371 Å, I = 16.2
32.71°, d = 2.738 Å, I = 13.2
53.50°, d = 1.713 Å, I = 12.5

Cell and atoms:
abc: 8.7702 8.7702 8.7702
angles: 127.61 127.61 77.26
Element x y z (fractional)
Dy1 0.0000 0.0000 0.0000
Dy2 0.0288 0.5288 0.8201
Dy3 0.2087 0.0288 0.5000
Dy4 0.2913 0.7913 0.8201
Dy5 0.4712 0.2913 0.5000
Dy6 0.5000 0.5000 0.0000
Dy7 0.5288 0.7087 0.5000
Dy8 0.7087 0.2087 0.1799
Dy9 0.7913 0.9712 0.5000
Dy10 0.9712 0.4712 0.1799
Tl1 0.2500 0.2500 0.0000
Tl2 0.7500 0.7500 0.0000
Os1 0.1395 0.3605 0.5000
Os2 0.3605 0.8605 0.2209
Os3 0.6395 0.1395 0.7791
Os4 0.8605 0.6395 0.5000


Record 3
Diffraction record for Dy4Ga2Te. The powder diffractogram is theoretical, not measured: it uses a crystal structure in Alexandria, relaxed with GGA-PBE and Cu Kα.
Kinematic intensities with the Lorentz-polarization factor, no thermal factor.

Most intense lines, 10° ≤ 2θ ≤ 80°, in order of falling intensity:
31.29°, d = 2.859 Å, I = 100.0
37.26°, d = 2.413 Å, I = 82.7
31.54°, d = 2.837 Å, I = 54.5
37.42°, d = 2.403 Å, I = 18.8
51.54°, d = 1.773 Å, I = 17.9
63.43°, d = 1.466 Å, I = 16.8
28.03°, d = 3.183 Å, I = 16.7
49.44°, d = 1.843 Å, I = 16.4
65.28°, d = 1.429 Å, I = 16.1
51.83°, d = 1.764 Å, I = 14.5

Cell and atoms:
abc: 7.8092 7.8092 7.8092
angles: 109.23 109.23 109.96
Element x y z (fractional)
Dy1 0.1382 0.7417 0.7483
Dy2 0.1399 0.2434 0.7517
Dy3 0.2583 0.0066 0.3965
Dy4 0.4917 0.3882 0.2483
Dy5 0.6101 0.8618 0.6035
Dy6 0.6118 0.8601 0.1035
Dy7 0.7566 0.5083 0.8965
Dy8 0.9934 0.3899 0.2517
Ga1 0.2426 0.6250 0.1176
Ga2 0.3750 0.4926 0.6176
Ga3 0.5074 0.1250 0.8824
Ga4 0.8750 0.7574 0.3824
Te1 0.0000 0.0000 0.0000
Te2 0.7500 0.2500 0.5000


Record 4
Diffraction record for Th6CoHg3. The powder diffractogram is theoretical, not measured: it uses a crystal structure in Alexandria, relaxed with GGA-PBE and Cu Kα.
Kinematic intensities with the Lorentz-polarization factor, no thermal factor.

Most intense lines, 10° ≤ 2θ ≤ 80°, in order of falling intensity:
32.68°, d = 2.741 Å, I = 100.0
28.04°, d = 3.182 Å, I = 23.0
49.63°, d = 1.837 Å, I = 22.3
33.23°, d = 2.696 Å, I = 21.2
61.03°, d = 1.518 Å, I = 16.2
60.69°, d = 1.526 Å, I = 15.9
44.01°, d = 2.057 Å, I = 14.9
59.01°, d = 1.565 Å, I = 11.1
68.48°, d = 1.370 Å, I = 4.0
57.98°, d = 1.591 Å, I = 3.6

Cell and atoms:
abc: 8.3422 8.3422 8.3422
angles: 82.70 82.70 82.70
Element x y z (fractional)
Th1 0.1203 0.7866 0.7866
Th2 0.1803 0.5182 0.5182
Th3 0.2134 0.2134 0.8797
Th4 0.2134 0.8797 0.2134
Th5 0.4818 0.4818 0.8197
Th6 0.4818 0.8197 0.4818
Th7 0.5182 0.1803 0.5182
Th8 0.5182 0.5182 0.1803
Th9 0.7866 0.1203 0.7866
Th10 0.7866 0.7866 0.1203
Th11 0.8197 0.4818 0.4818
Th12 0.8797 0.2134 0.2134
Co1 0.0000 0.0000 0.0000
Co2 0.5000 0.5000 0.5000
Hg1 0.1307 0.1307 0.5041
Hg2 0.1307 0.5041 0.1307
Hg3 0.4959 0.8693 0.8693
Hg4 0.5041 0.1307 0.1307
Hg5 0.8693 0.4959 0.8693
Hg6 0.8693 0.8693 0.4959


What is the formula in the first record?
RbNp3F10